Starting from a DFT-relaxed cell (GGA-PBE, OQMD), the powder X-ray diffraction pattern of TaTl3S4 was computed for CuKα.
Neutral-atom scattering factors, no anomalous dispersion.

Main lines, low angle first (2θ = 10–80°):
2θ (°), I/Imax
22.81, 100
32.06, 19
32.47, 74
32.91, 18
39.70, 19
40.41, 18
46.59, 16
52.47, 38
57.41, 13
58.49, 13

```
8
Lattice="0.000 5.583 3.901 5.443 0.000 3.901 5.443 5.583 0.000" Properties=species:S:1:pos:R:3 pbc="T T T"
Ta 0.000 0.000 0.000
Tl 2.722 2.792 0.110
Tl 5.443 5.583 3.874
Tl 8.165 8.375 4.012
S 7.299 5.583 1.340
S 5.443 1.883 2.593
S 3.587 5.583 1.340
S 5.443 9.284 2.593
```